1.
HoCd2Pd9: simulated XRD peak list (λ = 1.5418 Å (Cu Kα)), based on a structure optimized by DFT (GGA-PBE).
Kinematic intensities with the Lorentz-polarization factor, no thermal factor.

The 9 most intense peaks (2θ from 10° to 90°), in order of falling intensity:
38.40 deg, rel. 100; 44.71 deg, rel. 32; 78.16 deg, rel. 24; 64.90 deg, rel. 21; 44.48 deg, rel. 16; 77.83 deg, rel. 12; 82.25 deg, rel. 11; 65.08 deg, rel. 10; 31.15 deg, rel. 1

Cell and atoms:
Cell: 4.0539 4.0539 12.2221 Å, 90.00 90.00 90.00°
Element x y z (fractional)
Ho 0.0000 0.0000 0.0000
Cd 0.0000 0.0000 0.3369
Cd 0.0000 0.0000 0.6631
Pd 0.0000 0.5000 0.1705
Pd 0.0000 0.5000 0.5000
Pd 0.0000 0.5000 0.8295
Pd 0.5000 0.0000 0.1705
Pd 0.5000 0.0000 0.5000
Pd 0.5000 0.0000 0.8295
Pd 0.5000 0.5000 0.0000
Pd 0.5000 0.5000 0.3340
Pd 0.5000 0.5000 0.6660

=====

2.
Ho5Cd4Pd: simulated XRD peak list (λ = 1.5418 Å (Cu Kα)), based on a structure optimized by DFT (GGA-PBE).
Kinematic intensities with the Lorentz-polarization factor, no thermal factor.

The 10 most intense peaks (2θ from 10° to 90°), in order of falling intensity:
34.43 deg, rel. 100; 34.61 deg, rel. 52; 61.91 deg, rel. 36; 49.75 deg, rel. 18; 61.57 deg, rel. 16; 72.59 deg, rel. 10; 83.38 deg, rel. 8; 49.22 deg, rel. 8; 83.28 deg, rel. 8; 73.01 deg, rel. 6

Cell and atoms:
Cell: 3.6654 3.6654 18.5108 Å, 90.00 90.00 90.00°
Element x y z (fractional)
Ho 0.0000 0.0000 0.0000
Ho 0.0000 0.0000 0.2058
Ho 0.0000 0.0000 0.4114
Ho 0.0000 0.0000 0.5886
Ho 0.0000 0.0000 0.7942
Cd 0.5000 0.5000 0.1030
Cd 0.5000 0.5000 0.3062
Cd 0.5000 0.5000 0.6938
Cd 0.5000 0.5000 0.8970
Pd 0.5000 0.5000 0.5000

=====

3.
Ho3Cd2Pd2: simulated XRD peak list (λ = 1.5418 Å (Cu Kα)), based on a structure optimized by DFT (GGA-PBE).
Kinematic intensities with the Lorentz-polarization factor, no thermal factor.

The 10 most intense peaks (2θ from 10° to 90°), in order of falling intensity:
33.31 deg, rel. 100; 34.38 deg, rel. 72; 35.96 deg, rel. 63; 57.87 deg, rel. 33; 45.05 deg, rel. 28; 38.90 deg, rel. 27; 62.93 deg, rel. 24; 35.26 deg, rel. 23; 29.91 deg, rel. 21; 49.78 deg, rel. 21

Cell and atoms:
Cell: 11.3275 11.3275 3.6632 Å, 90.00 90.00 159.53°
Element x y z (fractional)
Ho 0.0000 0.0000 0.0000
Ho 0.1694 0.8306 0.0000
Ho 0.8306 0.1694 0.0000
Cd 0.4202 0.5798 0.5000
Cd 0.5798 0.4202 0.5000
Pd 0.2906 0.7094 0.5000
Pd 0.7094 0.2906 0.5000

=====

4.
HoCdPd14: simulated XRD peak list (λ = 1.5418 Å (Cu Kα)), based on a structure optimized by DFT (GGA-PBE).
Kinematic intensities with the Lorentz-polarization factor, no thermal factor.

The 8 most intense peaks (2θ from 10° to 90°), in order of falling intensity:
38.89 deg, rel. 100; 45.15 deg, rel. 33; 79.12 deg, rel. 24; 65.91 deg, rel. 20; 45.33 deg, rel. 16; 79.37 deg, rel. 12; 83.49 deg, rel. 11; 65.77 deg, rel. 10

Cell and atoms:
Cell: 5.6794 5.6794 8.0024 Å, 90.00 90.00 90.00°
Element x y z (fractional)
Ho 0.0000 0.0000 0.0000
Cd 0.5000 0.5000 0.0000
Pd 0.0000 0.0000 0.5000
Pd 0.0000 0.5000 0.0000
Pd 0.0000 0.5000 0.5000
Pd 0.2505 0.2505 0.2560
Pd 0.2505 0.2505 0.7440
Pd 0.2505 0.7495 0.2560
Pd 0.2505 0.7495 0.7440
Pd 0.5000 0.0000 0.0000
Pd 0.5000 0.0000 0.5000
Pd 0.5000 0.5000 0.5000
Pd 0.7495 0.2505 0.2560
Pd 0.7495 0.2505 0.7440
Pd 0.7495 0.7495 0.2560
Pd 0.7495 0.7495 0.7440

=====

5.
Ho7Cd2Pd2: simulated XRD peak list (λ = 1.5418 Å (Cu Kα)), based on a structure optimized by DFT (GGA-PBE).
Kinematic intensities with the Lorentz-polarization factor, no thermal factor.

The 10 most intense peaks (2θ from 10° to 90°), in order of falling intensity:
37.51 deg, rel. 100; 32.64 deg, rel. 62; 27.56 deg, rel. 57; 36.91 deg, rel. 54; 28.56 deg, rel. 46; 25.49 deg, rel. 32; 51.19 deg, rel. 20; 29.86 deg, rel. 20; 62.04 deg, rel. 19; 45.24 deg, rel. 19

Cell and atoms:
Cell: 6.7952 6.7952 7.1383 Å, 90.00 90.00 107.70°
Element x y z (fractional)
Ho 0.0000 0.0000 0.0000
Ho 0.0000 0.5000 0.2568
Ho 0.0000 0.5000 0.7432
Ho 0.5000 0.0000 0.2568
Ho 0.5000 0.0000 0.7432
Ho 0.5000 0.5000 0.2502
Ho 0.5000 0.5000 0.7498
Cd 0.1750 0.1750 0.5000
Cd 0.8250 0.8250 0.5000
Pd 0.2901 0.7099 0.0000
Pd 0.7099 0.2901 0.0000

=====

6.
Ho4Cd3Pd: simulated XRD peak list (λ = 1.5418 Å (Cu Kα)), based on a structure optimized by DFT (GGA-PBE).
Kinematic intensities with the Lorentz-polarization factor, no thermal factor.

The 10 most intense peaks (2θ from 10° to 90°), in order of falling intensity:
34.51 deg, rel. 100; 34.82 deg, rel. 51; 62.23 deg, rel. 36; 50.06 deg, rel. 18; 61.64 deg, rel. 16; 72.78 deg, rel. 10; 83.98 deg, rel. 8; 49.15 deg, rel. 8; 83.81 deg, rel. 8; 73.51 deg, rel. 6

Cell and atoms:
Cell: 3.6439 3.6439 14.8294 Å, 90.00 90.00 90.00°
Element x y z (fractional)
Ho 0.0000 0.0000 0.1110
Ho 0.0000 0.0000 0.3704
Ho 0.0000 0.0000 0.6296
Ho 0.0000 0.0000 0.8890
Cd 0.5000 0.5000 0.2437
Cd 0.5000 0.5000 0.5000
Cd 0.5000 0.5000 0.7563
Pd 0.5000 0.5000 0.0000